Record 1
CaAl9Co2: theoretical XRD peak list (Cu Kα X-rays), based on a structure optimized by DFT (PBE).
Lines closer than 0.1° are merged.

Structure:
```
data_CaAl9Co2
_space_group_name_H-M_alt 'P 6/m m m'
_space_group_IT_number 191
_space_group_name_Hall '-P 6 2'
_cell_length_a 7.8910
_cell_length_b 7.8910
_cell_length_c 3.8599
_cell_angle_alpha 90.00
_cell_angle_beta 90.00
_cell_angle_gamma 120.00
loop_
_atom_site_label
_atom_site_type_symbol
_atom_site_fract_x
_atom_site_fract_y
_atom_site_fract_z
_atom_site_occupancy
Ca1 Ca 0.0000 0.0000 0.0000 1
Al1 Al 0.0000 0.5000 0.0000 1
Al2 Al 0.2125 0.4250 0.5000 1
Co1 Co 0.3333 0.6667 0.0000 1
```

Main lines, low angle first (15° ≤ 2θ ≤ 90°):
two_theta	I_rel	index
22.54	81	1 1 0
32.45	100	1 1 1
35.07	52	2 0 1
42.09	78	2 1 1
46.01	60	2 2 0
46.28	69	3 0 1
47.09	39	0 0 2
52.06	44	2 2 1
67.95	35	2 2 2
89.77	20	6 0 1


Record 2
FeNi2: theoretical XRD peak list (Cu Kα X-rays), based on a structure optimized by DFT (PBE).
Lines closer than 0.1° are merged.

Structure:
Cell lengths 6.5502, 6.5502, 6.5502 Å; angles 90.00, 90.00, 90.00 degrees
Space group Fd-3m (No. 227, origin choice 2)
Symmetry-distinct sites (fractional):
Fe 0.1250 0.1250 0.1250 [8 per cell]
Ni 0.0000 0.0000 0.5000 [16 per cell]

Main lines, low angle first (15° ≤ 2θ ≤ 90°):
two_theta	I_rel	index
23.52	10	1 1 1
38.89	25	2 2 0
45.95	100	3 1 1
48.12	43	2 2 2
56.17	6	4 0 0
61.73	2	3 3 1
70.42	7	4 2 2
75.40	27	5 1 1
83.48	24	4 4 0
88.26	1	5 3 1


Record 3
LiTmAu2: theoretical XRD peak list (Cu Kα X-rays), based on a structure optimized by DFT (PBE).
Lines closer than 0.1° are merged.

Structure:
```
data_LiTmAu2
_space_group_name_H-M_alt 'F m -3 m'
_space_group_IT_number 225
_space_group_name_Hall '-F 4 2 3'
_cell_length_a 6.8103
_cell_length_b 6.8103
_cell_length_c 6.8103
_cell_angle_alpha 90.00
_cell_angle_beta 90.00
_cell_angle_gamma 90.00
loop_
_atom_site_label
_atom_site_type_symbol
_atom_site_fract_x
_atom_site_fract_y
_atom_site_fract_z
_atom_site_occupancy
Li1 Li 0.0000 0.0000 0.0000 1
Tm1 Tm 0.0000 0.0000 0.5000 1
Au1 Au 0.2500 0.2500 0.2500 1
```

Main lines, low angle first (15° ≤ 2θ ≤ 90°):
two_theta	I_rel	index
22.61	20	1 1 1
26.17	19	2 0 0
37.35	100	2 2 0
44.10	10	3 1 1
46.17	6	2 2 2
53.85	18	4 0 0
59.13	4	3 3 1
60.83	8	4 2 0
67.36	36	4 2 2
79.64	12	4 4 0


Record 4
Ba2Ca2Tl2Cu3O10: theoretical XRD peak list (Cu Kα X-rays), based on a structure optimized by DFT (PBE).
Lines closer than 0.1° are merged.

Structure:
```
data_Ba2Ca2Tl2Cu3O10
_space_group_name_H-M_alt 'I m m 2'
_space_group_IT_number 44
_space_group_name_Hall 'I 2 -2'
_cell_length_a 3.8800
_cell_length_b 36.7537
_cell_length_c 3.8949
_cell_angle_alpha 90.00
_cell_angle_beta 90.00
_cell_angle_gamma 90.00
loop_
_atom_site_label
_atom_site_type_symbol
_atom_site_fract_x
_atom_site_fract_y
_atom_site_fract_z
_atom_site_occupancy
Ba1 Ba 0.0000 0.1412 0.0000 1
Ca1 Ca 0.0000 0.0445 0.0030 1
Tl1 Tl 0.0000 0.2813 0.0169 1
Cu1 Cu 0.0000 0.4135 0.0025 1
Cu2 Cu 0.0000 0.5000 0.0031 1
O1 O 0.0000 0.0000 0.5030 1
O2 O 0.0000 0.0868 0.5028 1
O3 O 0.0000 0.2247 0.9024 1
O4 O 0.0000 0.3372 0.9932 1
O5 O 0.0000 0.4132 0.5025 1
O6 O 0.0000 0.5000 0.5031 1
```

Main lines, low angle first (15° ≤ 2θ ≤ 90°):
two_theta	I_rel	index
25.93	35	0 5 1
28.57	100	0 7 1
31.78	56	0 9 1
32.57	80	1 0 1
32.95	19	1 2 1
34.15	23	0 14 0
46.64	20	0 0 2
46.83	22	2 0 0
47.92	27	1 14 1
55.63	17	1 7 2


Record 5
CaMg6W: theoretical XRD peak list (Cu Kα X-rays), based on a structure optimized by DFT (PBE).
Lines closer than 0.1° are merged.

Structure:
```
data_CaMg6W
_space_group_name_H-M_alt 'P 4/m m m'
_space_group_IT_number 123
_space_group_name_Hall '-P 4 2'
_cell_length_a 6.2979
_cell_length_b 6.2979
_cell_length_c 4.4167
_cell_angle_alpha 90.00
_cell_angle_beta 90.00
_cell_angle_gamma 90.00
loop_
_atom_site_label
_atom_site_type_symbol
_atom_site_fract_x
_atom_site_fract_y
_atom_site_fract_z
_atom_site_occupancy
Ca1 Ca 0.0000 0.0000 0.0000 1
Mg1 Mg 0.0000 0.5000 0.0000 1
Mg2 Mg 0.2739 0.2739 0.5000 1
W1 W 0.5000 0.5000 0.0000 1
```

Main lines, low angle first (15° ≤ 2θ ≤ 90°):
two_theta	I_rel	index
19.94	44	1 1 0
20.10	21	0 0 1
24.62	26	1 0 1
28.46	35	1 1 1
35.00	100	2 0 1
37.89	27	2 1 1
40.51	32	2 2 0
45.59	20	2 2 1
58.90	21	2 2 2
70.14	23	4 2 1


Record 6
Na2CaH10C2O11: theoretical XRD peak list (Cu Kα X-rays), based on a structure optimized by DFT (PBE).
Lines closer than 0.1° are merged.

Structure:
```
data_Na2CaH10C2O11
_space_group_name_H-M_alt 'C 1 2/c 1'
_space_group_IT_number 15
_space_group_name_Hall '-C 2yc'
_cell_length_a 14.6080
_cell_length_b 7.7116
_cell_length_c 11.2866
_cell_angle_alpha 90.00
_cell_angle_beta 127.51
_cell_angle_gamma 90.00
loop_
_atom_site_label
_atom_site_type_symbol
_atom_site_fract_x
_atom_site_fract_y
_atom_site_fract_z
_atom_site_occupancy
Na1 Na 0.0880 0.1905 0.4863 1
Ca1 Ca 0.0000 0.1931 0.7500 1
H1 H 0.0607 0.4105 0.2702 1
H2 H 0.1036 0.1905 0.0740 1
H3 H 0.1161 0.3906 0.0474 1
H4 H 0.1766 0.4157 0.7507 1
H5 H 0.2155 0.4354 0.9181 1
C1 C 0.1888 0.0238 0.3165 1
O1 O 0.0000 0.3281 0.2500 1
O2 O 0.0662 0.2864 0.9999 1
O3 O 0.1056 0.0032 0.1749 1
O4 O 0.1472 0.4099 0.8118 1
O5 O 0.1680 0.0099 0.9115 1
O6 O 0.2089 0.4271 0.6357 1
```

Main lines, low angle first (15° ≤ 2θ ≤ 90°):
two_theta	I_rel	index
19.55	21	1 1 1
27.80	100	2 2 0
32.66	47	2 2 1
32.97	25	2 0 -4
33.40	17	2 2 -3
33.83	64	4 2 -2
35.67	28	4 2 -3
37.86	21	6 0 -2
46.92	33	0 2 4
49.48	19	6 0 -6


Record 7
Tm2TiO5: theoretical XRD peak list (Cu Kα X-rays), based on a structure optimized by DFT (PBE).
Lines closer than 0.1° are merged.

Structure:
```
data_Tm2TiO5
_space_group_name_H-M_alt 'C m c m'
_space_group_IT_number 63
_space_group_name_Hall '-C 2c 2'
_cell_length_a 4.0534
_cell_length_b 10.8803
_cell_length_c 10.4251
_cell_angle_alpha 90.00
_cell_angle_beta 90.00
_cell_angle_gamma 90.00
loop_
_atom_site_label
_atom_site_type_symbol
_atom_site_fract_x
_atom_site_fract_y
_atom_site_fract_z
_atom_site_occupancy
Tm1 Tm 0.0000 0.1428 0.0689 1
Ti1 Ti 0.0000 0.1736 0.7500 1
O1 O 0.0000 0.0511 0.6231 1
O2 O 0.0000 0.2707 0.2500 1
O3 O 0.0000 0.2924 0.5897 1
```

Main lines, low angle first (15° ≤ 2θ ≤ 90°):
two_theta	I_rel	index
16.29	27	0 2 0
17.01	43	0 0 2
23.42	97	1 1 0
30.53	100	0 2 3
32.93	24	0 4 0
33.15	55	1 3 0
35.00	61	1 1 3
44.71	28	2 0 0
54.68	45	1 5 3
55.11	37	2 2 3


Record 8
KUTe2O8: theoretical XRD peak list (Cu Kα X-rays), based on a structure optimized by DFT (PBE).
Lines closer than 0.1° are merged.

Structure:
```
data_KUTe2O8
_space_group_name_H-M_alt 'C m c m'
_space_group_IT_number 63
_space_group_name_Hall '-C 2c 2'
_cell_length_a 7.7462
_cell_length_b 9.2354
_cell_length_c 11.9085
_cell_angle_alpha 90.00
_cell_angle_beta 90.00
_cell_angle_gamma 90.00
loop_
_atom_site_label
_atom_site_type_symbol
_atom_site_fract_x
_atom_site_fract_y
_atom_site_fract_z
_atom_site_occupancy
K1 K 0.0000 0.0000 0.0000 1
U1 U 0.0000 0.5000 0.0000 1
Te1 Te 0.2475 0.3236 0.2500 1
O1 O 0.0000 0.1070 0.7500 1
O2 O 0.0000 0.2433 0.2500 1
O3 O 0.0000 0.3086 0.5448 1
O4 O 0.2055 0.4527 0.1293 1
```

Main lines, low angle first (15° ≤ 2θ ≤ 90°):
two_theta	I_rel	index
20.63	44	0 2 1
21.14	60	1 1 2
24.39	84	0 2 2
27.47	100	2 0 2
30.06	70	0 0 4
31.06	25	2 2 1
43.04	43	2 2 4
51.76	21	2 0 6
53.57	20	4 2 2
67.33	21	2 6 2


Record 9
Rb2NaInBr6: theoretical XRD peak list (Cu Kα X-rays), based on a structure optimized by DFT (PBE).
Lines closer than 0.1° are merged.

Structure:
```
data_Rb2NaInBr6
_space_group_name_H-M_alt 'F m -3 m'
_space_group_IT_number 225
_space_group_name_Hall '-F 4 2 3'
_cell_length_a 11.2479
_cell_length_b 11.2479
_cell_length_c 11.2479
_cell_angle_alpha 90.00
_cell_angle_beta 90.00
_cell_angle_gamma 90.00
loop_
_atom_site_label
_atom_site_type_symbol
_atom_site_fract_x
_atom_site_fract_y
_atom_site_fract_z
_atom_site_occupancy
Rb1 Rb 0.2500 0.2500 0.2500 1
Na1 Na 0.0000 0.0000 0.0000 1
In1 In 0.0000 0.0000 0.5000 1
Br1 Br 0.0000 0.0000 0.2594 1
```

Main lines, low angle first (15° ≤ 2θ ≤ 90°):
two_theta	I_rel	index
15.76	16	2 0 0
22.36	18	2 2 0
27.47	83	2 2 2
31.82	100	4 0 0
45.62	71	4 4 0
54.08	35	6 2 2
56.70	24	4 4 4
73.38	14	6 6 2
75.62	30	8 4 0
84.37	23	8 4 4


Record 10
Li5NbO5: theoretical XRD peak list (Cu Kα X-rays), based on a structure optimized by DFT (PBE).
Lines closer than 0.1° are merged.

Structure:
```
data_Li5NbO5
_space_group_name_H-M_alt 'C 1 2/c 1'
_space_group_IT_number 15
_space_group_name_Hall '-C 2yc'
_cell_length_a 5.7530
_cell_length_b 9.3946
_cell_length_c 9.0920
_cell_angle_alpha 90.00
_cell_angle_beta 104.54
_cell_angle_gamma 90.00
loop_
_atom_site_label
_atom_site_type_symbol
_atom_site_fract_x
_atom_site_fract_y
_atom_site_fract_z
_atom_site_occupancy
Li1 Li 0.0000 0.1720 0.2500 1
Li2 Li 0.1314 0.3272 0.0613 1
Li3 Li 0.1608 0.1159 0.5423 1
Nb1 Nb 0.0000 0.4122 0.7500 1
O1 O 0.0000 0.3863 0.2500 1
O2 O 0.1550 0.3288 0.6055 1
O3 O 0.1838 0.1130 0.0886 1
```

Main lines, low angle first (15° ≤ 2θ ≤ 90°):
two_theta	I_rel	index
18.52	100	1 1 0
20.18	30	0 0 2
21.44	92	0 2 1
24.33	70	1 1 -2
30.40	26	1 1 2
33.14	24	1 3 -1
38.32	16	0 4 0
42.56	26	2 0 2
45.69	19	2 0 -4
53.99	18	1 5 -2


Record 11
K2MnSnSe4: theoretical XRD peak list (Cu Kα X-rays), based on a structure optimized by DFT (PBE).
Lines closer than 0.1° are merged.

Structure:
```
data_K2MnSnSe4
_space_group_name_H-M_alt 'P -4 n 2'
_space_group_IT_number 118
_space_group_name_Hall 'P -4 -2n'
_cell_length_a 10.7434
_cell_length_b 10.7434
_cell_length_c 8.4201
_cell_angle_alpha 90.00
_cell_angle_beta 90.00
_cell_angle_gamma 90.00
loop_
_atom_site_label
_atom_site_type_symbol
_atom_site_fract_x
_atom_site_fract_y
_atom_site_fract_z
_atom_site_occupancy
K1 K 0.0000 0.0000 0.0000 1
K2 K 0.0000 0.5000 0.2500 1
K3 K 0.2472 0.2528 0.2500 1
Mn1 Mn 0.0000 0.0000 0.5000 1
Mn2 Mn 0.0000 0.5000 0.7500 1
Sn1 Sn 0.2216 0.2784 0.7500 1
Se1 Se 0.0286 0.3048 0.9293 1
Se2 Se 0.0654 0.7882 0.3931 1
```

Main lines, low angle first (15° ≤ 2θ ≤ 90°):
two_theta	I_rel	index
15.71	71	1 1 1
26.91	100	2 0 2
27.06	37	3 0 1
28.33	32	3 1 1
31.73	49	2 2 2
33.36	44	4 0 0
43.43	35	5 0 1
44.33	39	3 2 3
46.80	19	5 2 1
49.50	30	2 2 4